Calculated powder X-ray diffraction pattern
Compound: Sm2Er12Zr
Radiation: Cu Ka
Structure: a GGA-PBE-relaxed structure
Kinematic intensities with the Lorentz-polarization factor, no thermal factor.

Cell and atoms:
Lattice parameters (Å, degrees): 6.5495 6.5495 23.8333 92.23 92.23 115.19
Atoms (fractional coordinates):
Sm: 0.0663 0.0663 0.2726
Sm: 0.4283 0.4283 0.7227
Sm: 0.5717 0.5717 0.2773
Sm: 0.9337 0.9337 0.7274
Er: 0.0300 0.0300 0.1237
Er: 0.0469 0.5471 0.1892
Er: 0.0841 0.5808 0.3281
Er: 0.1391 0.1391 0.5769
Er: 0.1429 0.6337 0.5559
Er: 0.2386 0.7295 0.9372
Er: 0.2705 0.7614 0.0628
Er: 0.3532 0.3532 0.4281
Er: 0.3663 0.8571 0.4441
Er: 0.4192 0.9159 0.6719
Er: 0.4529 0.9531 0.8108
Er: 0.4676 0.4676 0.8707
Er: 0.5324 0.5324 0.1293
Er: 0.5471 0.0469 0.1892
Er: 0.5808 0.0841 0.3281
Er: 0.6337 0.1429 0.5559
Er: 0.6468 0.6468 0.5719
Er: 0.7295 0.2386 0.9372
Er: 0.7614 0.2705 0.0628
Er: 0.8571 0.3663 0.4441
Er: 0.8609 0.8609 0.4231
Er: 0.9159 0.4192 0.6719
Er: 0.9531 0.4529 0.8108
Er: 0.9700 0.9700 0.8763
Zr: 0.2755 0.2755 0.0000
Zr: 0.7245 0.7245 0.0000

Top 8 peaks for 10 to 90 degrees two-theta, by angle:
- 2θ = 30.90°, I 503
- 2θ = 31.63°, I 1000
- 2θ = 32.38°, I 831
- 2θ = 32.93°, I 356
- 2θ = 34.26°, I 533
- 2θ = 34.70°, I 271
- 2θ = 34.73°, I 263
- 2θ = 46.81°, I 328

=====

Calculated powder X-ray diffraction pattern
Compound: Er3Sn7
Radiation: Cu Ka
Structure: a GGA-PBE-relaxed structure
Kinematic intensities with the Lorentz-polarization factor, no thermal factor.

Cell and atoms:
Lattice parameters (Å, degrees): 13.3972 13.3972 4.4202 90.00 90.00 161.06
Atoms (fractional coordinates):
Er: 0.0000 0.0000 0.0000
Er: 0.3100 0.6900 0.5000
Er: 0.6900 0.3100 0.5000
Sn: 0.0974 0.9026 0.5000
Sn: 0.2110 0.7890 0.0000
Sn: 0.4020 0.5980 0.0000
Sn: 0.5000 0.5000 0.5000
Sn: 0.5980 0.4020 0.0000
Sn: 0.7890 0.2110 0.0000
Sn: 0.9026 0.0974 0.5000

Top 8 peaks for 10 to 90 degrees two-theta, by angle:
- 2θ = 33.34°, I 1000
- 2θ = 33.91°, I 229
- 2θ = 40.83°, I 152
- 2θ = 40.94°, I 154
- 2θ = 54.14°, I 235
- 2θ = 60.32°, I 127
- 2θ = 69.59°, I 124
- 2θ = 69.75°, I 124

=====

Calculated powder X-ray diffraction pattern
Compound: Er4Sn3
Radiation: Cu Ka
Structure: a GGA-PBE-relaxed structure
Kinematic intensities with the Lorentz-polarization factor, no thermal factor.

Cell and atoms:
Lattice parameters (Å, degrees): 7.9738 7.9738 7.9738 109.47 109.47 109.47
Atoms (fractional coordinates):
Er: 0.0000 0.1426 0.5000
Er: 0.0000 0.6426 0.5000
Er: 0.1426 0.5000 0.0000
Er: 0.3574 0.3574 0.3574
Er: 0.5000 0.0000 0.1426
Er: 0.5000 0.0000 0.6426
Er: 0.6426 0.5000 0.0000
Er: 0.8574 0.8574 0.8574
Sn: 0.1250 0.8750 0.2500
Sn: 0.2500 0.1250 0.8750
Sn: 0.3750 0.6250 0.7500
Sn: 0.6250 0.7500 0.3750
Sn: 0.7500 0.3750 0.6250
Sn: 0.8750 0.2500 0.1250

Top 8 peaks for 10 to 90 degrees two-theta, by angle:
- 2θ = 30.71°, I 1000
- 2θ = 36.51°, I 675
- 2θ = 48.43°, I 185
- 2θ = 50.55°, I 248
- 2θ = 62.15°, I 255
- 2θ = 63.95°, I 125
- 2θ = 65.72°, I 150
- 2θ = 75.94°, I 155

=====

Calculated powder X-ray diffraction pattern
Compound: Er2Sn5
Radiation: Cu Ka
Structure: a GGA-PBE-relaxed structure
Kinematic intensities with the Lorentz-polarization factor, no thermal factor.

Cell and atoms:
Lattice parameters (Å, degrees): 4.3521 4.4363 19.0137 90.00 90.00 90.00
Atoms (fractional coordinates):
Er: 0.2500 0.2500 0.1289
Er: 0.2500 0.7500 0.7016
Er: 0.7500 0.2500 0.2984
Er: 0.7500 0.7500 0.8711
Sn: 0.2500 0.2500 0.4235
Sn: 0.2500 0.2500 0.5778
Sn: 0.2500 0.2500 0.8448
Sn: 0.2500 0.7500 0.0015
Sn: 0.2500 0.7500 0.2647
Sn: 0.7500 0.2500 0.7353
Sn: 0.7500 0.2500 0.9985
Sn: 0.7500 0.7500 0.1552
Sn: 0.7500 0.7500 0.4222
Sn: 0.7500 0.7500 0.5765

Top 8 peaks for 10 to 90 degrees two-theta, by angle:
- 2θ = 32.09°, I 939
- 2θ = 32.98°, I 461
- 2θ = 34.49°, I 1000
- 2θ = 40.67°, I 394
- 2θ = 41.50°, I 333
- 2θ = 53.32°, I 242
- 2θ = 59.51°, I 235
- 2θ = 69.76°, I 326

=====

Calculated powder X-ray diffraction pattern
Compound: Er5SnTe5
Radiation: Cu Ka
Structure: a GGA-PBE-relaxed structure
Kinematic intensities with the Lorentz-polarization factor, no thermal factor.

Cell and atoms:
Lattice parameters (Å, degrees): 7.5010 7.5010 8.6334 106.74 106.74 48.21
Atoms (fractional coordinates):
Er: 0.0000 0.0000 0.0000
Er: 0.3380 0.3380 0.1679
Er: 0.3382 0.3382 0.6705
Er: 0.6619 0.6619 0.3295
Er: 0.6620 0.6620 0.8321
Sn: 0.5000 0.5000 0.0000
Te: 0.1662 0.1662 0.8297
Te: 0.1672 0.1672 0.3370
Te: 0.5000 0.5000 0.5000
Te: 0.8328 0.8328 0.6630
Te: 0.8338 0.8338 0.1703

Top 8 peaks for 10 to 90 degrees two-theta, by angle:
- 2θ = 29.19°, I 1000
- 2θ = 41.73°, I 633
- 2θ = 41.85°, I 126
- 2θ = 51.69°, I 135
- 2θ = 51.82°, I 135
- 2θ = 68.56°, I 289
- 2θ = 76.14°, I 127
- 2θ = 76.36°, I 86

=====

Calculated powder X-ray diffraction pattern
Compound: ErSn3Te6
Radiation: Cu Ka
Structure: a GGA-PBE-relaxed structure
Kinematic intensities with the Lorentz-polarization factor, no thermal factor.

Cell and atoms:
Lattice parameters (Å, degrees): 12.6978 4.2908 13.0202 90.00 112.44 90.00
Atoms (fractional coordinates):
Er: 0.2042 0.2500 0.0486
Er: 0.7958 0.7500 0.9514
Sn: 0.0479 0.7500 0.2931
Sn: 0.3429 0.2500 0.4553
Sn: 0.3869 0.7500 0.8365
Sn: 0.6131 0.2500 0.1635
Sn: 0.6571 0.7500 0.5447
Sn: 0.9521 0.2500 0.7069
Te: 0.0251 0.7500 0.9044
Te: 0.1090 0.2500 0.4660
Te: 0.2145 0.2500 0.8046
Te: 0.2547 0.7500 0.2398
Te: 0.3981 0.7500 0.0712
Te: 0.4433 0.7500 0.6245
Te: 0.5567 0.2500 0.3755
Te: 0.6019 0.2500 0.9288
Te: 0.7453 0.2500 0.7602
Te: 0.7855 0.7500 0.1954
Te: 0.8910 0.7500 0.5340
Te: 0.9749 0.2500 0.0956

Top 8 peaks for 10 to 90 degrees two-theta, by angle:
- 2θ = 27.67°, I 296
- 2θ = 28.25°, I 1000
- 2θ = 28.39°, I 425
- 2θ = 30.51°, I 582
- 2θ = 36.53°, I 393
- 2θ = 39.73°, I 436
- 2θ = 41.06°, I 291
- 2θ = 42.11°, I 515

=====

Calculated powder X-ray diffraction pattern
Compound: Er2ThZn2Sn2
Radiation: Cu Ka
Structure: a GGA-PBE-relaxed structure
Kinematic intensities with the Lorentz-polarization factor, no thermal factor.

Cell and atoms:
Lattice parameters (Å, degrees): 10.0980 10.0980 10.0980 26.33 26.33 26.33
Atoms (fractional coordinates):
Er: 0.1301 0.1301 0.1301
Er: 0.8699 0.8699 0.8699
Th: 0.0000 0.0000 0.0000
Zn: 0.3882 0.3882 0.3882
Zn: 0.6118 0.6118 0.6118
Sn: 0.2551 0.2551 0.2551
Sn: 0.7449 0.7449 0.7449

Top 8 peaks for 10 to 90 degrees two-theta, by angle:
- 2θ = 22.53°, I 365
- 2θ = 31.03°, I 419
- 2θ = 33.28°, I 1000
- 2θ = 39.18°, I 717
- 2θ = 52.32°, I 282
- 2θ = 55.33°, I 174
- 2θ = 62.47°, I 213
- 2θ = 67.27°, I 267

=====

Calculated powder X-ray diffraction pattern
Compound: ErTiSn3
Radiation: Cu Ka
Structure: a GGA-PBE-relaxed structure
Kinematic intensities with the Lorentz-polarization factor, no thermal factor.

Cell and atoms:
Lattice parameters (Å, degrees): 13.1979 5.9652 6.1514 90.00 90.00 90.00
Atoms (fractional coordinates):
Er: 0.1873 0.0060 0.2500
Er: 0.1873 0.4940 0.7500
Er: 0.8127 0.5060 0.2500
Er: 0.8127 0.9940 0.7500
Ti: 0.3945 0.7500 0.0000
Ti: 0.3945 0.7500 0.5000
Ti: 0.6055 0.2500 0.0000
Ti: 0.6055 0.2500 0.5000
Sn: 0.0034 0.7500 0.0000
Sn: 0.0034 0.7500 0.5000
Sn: 0.2470 0.5050 0.2500
Sn: 0.2470 0.9950 0.7500
Sn: 0.4231 0.1868 0.2500
Sn: 0.4231 0.3132 0.7500
Sn: 0.5769 0.6868 0.2500
Sn: 0.5769 0.8132 0.7500
Sn: 0.7530 0.0050 0.2500
Sn: 0.7530 0.4950 0.7500
Sn: 0.9966 0.2500 0.0000
Sn: 0.9966 0.2500 0.5000

Top 8 peaks for 10 to 90 degrees two-theta, by angle:
- 2θ = 29.06°, I 398
- 2θ = 32.11°, I 556
- 2θ = 32.96°, I 1000
- 2θ = 33.96°, I 469
- 2θ = 34.31°, I 409
- 2θ = 35.60°, I 614
- 2θ = 36.39°, I 366
- 2θ = 42.21°, I 396

=====

Calculated powder X-ray diffraction pattern
Compound: Er2TlSn
Radiation: Cu Ka
Structure: a GGA-PBE-relaxed structure
Kinematic intensities with the Lorentz-polarization factor, no thermal factor.

Cell and atoms:
Lattice parameters (Å, degrees): 6.1260 4.2942 8.8211 90.00 108.01 90.00
Atoms (fractional coordinates):
Er: 0.1900 0.2500 0.4270
Er: 0.2951 0.7500 0.0662
Er: 0.7049 0.2500 0.9338
Er: 0.8100 0.7500 0.5730
Tl: 0.3953 0.7500 0.6975
Tl: 0.6047 0.2500 0.3025
Sn: 0.1200 0.2500 0.7981
Sn: 0.8800 0.7500 0.2019

Top 8 peaks for 10 to 90 degrees two-theta, by angle:
- 2θ = 29.74°, I 1000
- 2θ = 31.51°, I 366
- 2θ = 37.30°, I 404
- 2θ = 37.47°, I 363
- 2θ = 39.84°, I 265
- 2θ = 42.08°, I 231
- 2θ = 53.51°, I 171
- 2θ = 59.34°, I 168

=====

Calculated powder X-ray diffraction pattern
Compound: Er4Tl2Sn
Radiation: Cu Ka
Structure: a GGA-PBE-relaxed structure
Kinematic intensities with the Lorentz-polarization factor, no thermal factor.

Cell and atoms:
Lattice parameters (Å, degrees): 9.5673 8.3306 8.1921 70.76 55.30 53.94
Atoms (fractional coordinates):
Er: 0.1136 0.3182 0.3271
Er: 0.2588 0.6729 0.6818
Er: 0.3182 0.1136 0.7412
Er: 0.3271 0.7412 0.1136
Er: 0.6729 0.2588 0.8864
Er: 0.6818 0.8864 0.2588
Er: 0.7412 0.3271 0.3182
Er: 0.8864 0.6818 0.6729
Tl: 0.0000 0.0000 0.0000
Tl: 0.0000 0.0000 0.5000
Tl: 0.0000 0.5000 0.0000
Tl: 0.5000 0.0000 0.0000
Sn: 0.3750 0.3750 0.3750
Sn: 0.6250 0.6250 0.6250

Top 8 peaks for 10 to 90 degrees two-theta, by angle:
- 2θ = 26.02°, I 438
- 2θ = 26.69°, I 475
- 2θ = 29.76°, I 1000
- 2θ = 34.74°, I 375
- 2θ = 35.41°, I 288
- 2θ = 35.52°, I 311
- 2θ = 37.62°, I 470
- 2θ = 40.18°, I 377

=====

Calculated powder X-ray diffraction pattern
Compound: Er6Tl6Sn
Radiation: Cu Ka
Structure: a GGA-PBE-relaxed structure
Kinematic intensities with the Lorentz-polarization factor, no thermal factor.

Cell and atoms:
Lattice parameters (Å, degrees): 6.4782 6.4782 10.2197 90.00 90.00 120.00
Atoms (fractional coordinates):
Er: 0.0000 0.0000 0.1895
Er: 0.0000 0.0000 0.8105
Er: 0.3333 0.6667 0.0000
Er: 0.3333 0.6667 0.5000
Er: 0.6667 0.3333 0.0000
Er: 0.6667 0.3333 0.5000
Tl: 0.0000 0.5000 0.2495
Tl: 0.0000 0.5000 0.7505
Tl: 0.5000 0.0000 0.2495
Tl: 0.5000 0.0000 0.7505
Tl: 0.5000 0.5000 0.2495
Tl: 0.5000 0.5000 0.7505
Sn: 0.0000 0.0000 0.5000

Top 8 peaks for 10 to 90 degrees two-theta, by angle:
- 2θ = 27.54°, I 199
- 2θ = 31.90°, I 460
- 2θ = 32.73°, I 440
- 2θ = 35.12°, I 273
- 2θ = 36.54°, I 1000
- 2θ = 56.85°, I 280
- 2θ = 61.51°, I 175
- 2θ = 68.61°, I 240

=====

Calculated powder X-ray diffraction pattern
Compound: ErTm3Sn
Radiation: Cu Ka
Structure: a GGA-PBE-relaxed structure
Kinematic intensities with the Lorentz-polarization factor, no thermal factor.

Cell and atoms:
Lattice parameters (Å, degrees): 7.7853 7.7853 7.7853 86.95 114.57 129.60
Atoms (fractional coordinates):
Er: 0.2451 0.2500 0.4951
Er: 0.7549 0.7500 0.5049
Tm: 0.1780 0.5009 0.1771
Tm: 0.2080 0.5211 0.7510
Tm: 0.2080 0.9570 0.1869
Tm: 0.3238 0.0009 0.8229
Tm: 0.7701 0.0211 0.8131
Tm: 0.7701 0.4570 0.2490
Sn: 0.6729 0.9879 0.1850
Sn: 0.8029 0.4879 0.8150

Top 8 peaks for 10 to 90 degrees two-theta, by angle:
- 2θ = 26.41°, I 427
- 2θ = 31.29°, I 555
- 2θ = 31.68°, I 678
- 2θ = 34.44°, I 1000
- 2θ = 37.70°, I 809
- 2θ = 40.08°, I 554
- 2θ = 47.49°, I 599
- 2θ = 65.25°, I 443